Starting from DFT lattice parameters and positions (PBE), the powder diffractogram of Pr3Ga2CuAu6 was computed for a wavelength of 1.5418 Å.
Intensities are scaled so that the largest is 100.

Crystal structure
Unit cell a=6.197 b=6.197 c=8.366 alpha=90.00 beta=90.00 gamma=120.00
Atoms (fractional coordinates):
Pr 0.000 0.000 0.000
Pr 0.333 0.667 0.636
Pr 0.667 0.333 0.364
Ga 0.333 0.667 0.023
Ga 0.667 0.333 0.977
Cu 0.000 0.000 0.500
Au 0.177 0.354 0.286
Au 0.177 0.823 0.286
Au 0.354 0.177 0.714
Au 0.646 0.823 0.286
Au 0.823 0.177 0.714
Au 0.823 0.646 0.714

Largest 12 diffraction maxima, by intensity, 10° ≤ 2θ ≤ 80°:
2θ = 35.12°, d 2.555, rel. 100, (0 2 1)
2θ = 39.91°, d 2.259, rel. 51, (2 0 2)
2θ = 36.07°, d 2.490, rel. 29, (1 1 2)
2θ = 59.68°, d 1.549, rel. 25, (2 2 0)
2θ = 46.99°, d 1.934, rel. 24, (0 2 3)
2θ = 21.24°, d 4.183, rel. 23, (0 0 2)
2θ = 32.10°, d 2.789, rel. 22, (0 0 3)
2θ = 19.65°, d 4.517, rel. 16, (0 1 1)
2θ = 33.39°, d 2.683, rel. 14, (2 0 0)
2θ = 69.39°, d 1.354, rel. 14, (2 2 3)
2θ = 55.72°, d 1.650, rel. 13, (2 0 4)
2θ = 71.17°, d 1.325, rel. 12, (4 0 1)

---

Starting from DFT lattice parameters and positions (PBE), the powder diffractogram of Sm2GaCuAu6 was computed for a wavelength of 1.5418 Å.
Intensities are scaled so that the largest is 100.

Crystal structure
Unit cell a=5.462 b=6.658 c=7.046 alpha=81.79 beta=67.47 gamma=66.50
Atoms (fractional coordinates):
Sm 0.013 0.251 0.218
Sm 0.987 0.749 0.782
Ga 0.500 0.000 0.500
Cu 0.500 0.500 0.000
Au 0.001 0.215 0.786
Au 0.345 0.412 0.399
Au 0.497 0.792 0.211
Au 0.503 0.208 0.789
Au 0.655 0.588 0.601
Au 0.999 0.785 0.214

Largest 12 diffraction maxima, by intensity, 10° ≤ 2θ ≤ 80°:
2θ = 38.52°, d 2.337, rel. 100, (2 0 2)
2θ = 38.97°, d 2.311, rel. 83, (2 2 2)
2θ = 27.42°, d 3.253, rel. 66, (0 0 2)
2θ = 38.72°, d 2.326, rel. 57, (2 2 0)
2θ = 32.24°, d 2.776, rel. 53, (0 2 -1)
2θ = 40.27°, d 2.240, rel. 52, (0 2 -2)
2θ = 20.06°, d 4.426, rel. 46, (0 1 1)
2θ = 29.26°, d 3.052, rel. 35, (0 2 0)
2θ = 30.99°, d 2.886, rel. 32, (0 1 -2)
2θ = 40.78°, d 2.213, rel. 31, (0 2 2)
2θ = 44.50°, d 2.036, rel. 27, (0 1 3)
2θ = 27.19°, d 3.279, rel. 25, (1 0 -1)